1.
Simulated PXRD pattern
Compound: NaNi5O6
Radiation: Cu Kα
Structure: a PBE+U-relaxed structure

Largest 6 diffraction maxima, in order of rising 2θ, 10° ≤ 2θ ≤ 90°:
| Position (°2θ) | I (rel.) |
| --- | --- |
| 36.6 | 100 |
| 42.4 | 50 |
| 42.6 | 98 |
| 61.5 | 28 |
| 61.7 | 42 |
| 73.9 | 20 |

Lattice parameters (Å, degrees): 5.211 5.211 5.211 99.74 99.74 119.83
Fractional positions:
Na1 0.000 0.000 0.000
Ni1 0.164 0.836 0.500
Ni2 0.332 0.668 0.000
Ni3 0.500 0.500 0.500
Ni4 0.668 0.332 0.000
Ni5 0.836 0.164 0.500
O1 0.085 0.443 0.258
O2 0.265 0.264 0.734
O3 0.447 0.091 0.260
O4 0.557 0.915 0.742
O5 0.736 0.735 0.266
O6 0.909 0.553 0.740

=====

2.
Simulated PXRD pattern
Compound: Na2Ni3O5
Radiation: Cu Kα
Structure: a PBE+U-relaxed structure

Largest 6 diffraction maxima, in order of rising 2θ, 10° ≤ 2θ ≤ 90°:
| Position (°2θ) | I (rel.) |
| --- | --- |
| 17.4 | 57 |
| 35.3 | 31 |
| 36.5 | 44 |
| 36.9 | 21 |
| 41.4 | 55 |
| 42.5 | 100 |

Lattice parameters (Å, degrees): 5.170 6.115 6.924 104.76 98.73 106.18
Fractional positions:
Na1 0.101 0.199 0.205
Na2 0.293 0.597 0.594
Na3 0.707 0.403 0.406
Na4 0.899 0.801 0.795
Ni1 0.101 0.702 0.193
Ni2 0.297 0.100 0.606
Ni3 0.500 0.000 0.000
Ni4 0.500 0.500 0.000
Ni5 0.703 0.900 0.394
Ni6 0.899 0.298 0.807
O1 0.006 0.791 0.480
O2 0.223 0.633 0.919
O3 0.234 0.185 0.909
O4 0.423 0.025 0.299
O5 0.429 0.582 0.272
O6 0.571 0.418 0.728
O7 0.577 0.975 0.701
O8 0.766 0.815 0.091
O9 0.777 0.367 0.081
O10 0.994 0.209 0.520

=====

3.
Simulated PXRD pattern
Compound: NaNi2O3
Radiation: Cu Kα
Structure: a PBE+U-relaxed structure

Largest 6 diffraction maxima, in order of rising 2θ, 10° ≤ 2θ ≤ 90°:
| Position (°2θ) | I (rel.) |
| --- | --- |
| 17.8 | 34 |
| 36.5 | 47 |
| 40.9 | 59 |
| 42.7 | 100 |
| 60.5 | 30 |
| 60.7 | 31 |

Lattice parameters (Å, degrees): 5.187 5.187 5.359 100.72 100.72 118.00
Fractional positions:
Na1 0.000 0.000 0.000
Na2 0.660 0.340 0.000
Ni1 0.161 0.839 0.500
Ni2 0.332 0.668 0.000
Ni3 0.494 0.506 0.500
Ni4 0.828 0.172 0.500
O1 0.128 0.458 0.265
O2 0.214 0.258 0.713
O3 0.443 0.099 0.293
O4 0.542 0.872 0.735
O5 0.742 0.786 0.287
O6 0.901 0.557 0.707

=====

4.
Simulated PXRD pattern
Compound: NaNi2O4
Radiation: Cu Kα
Structure: a PBE+U-relaxed structure

Largest 6 diffraction maxima, in order of rising 2θ, 10° ≤ 2θ ≤ 90°:
| Position (°2θ) | I (rel.) |
| --- | --- |
| 19.2 | 58 |
| 20.2 | 61 |
| 33.0 | 56 |
| 34.7 | 100 |
| 37.0 | 86 |
| 50.8 | 43 |

Lattice parameters (Å, degrees): 8.811 2.858 10.861 90.00 90.00 90.00
Fractional positions:
Na1 0.241 0.250 0.166
Na2 0.259 0.750 0.666
Na3 0.741 0.250 0.334
Na4 0.759 0.750 0.834
Ni1 0.062 0.250 0.388
Ni2 0.086 0.250 0.905
Ni3 0.414 0.750 0.405
Ni4 0.438 0.750 0.888
Ni5 0.562 0.250 0.112
Ni6 0.586 0.250 0.595
Ni7 0.914 0.750 0.095
Ni8 0.938 0.750 0.612
O1 0.036 0.750 0.798
O2 0.073 0.250 0.577
O3 0.119 0.750 0.019
O4 0.199 0.750 0.347
O5 0.301 0.250 0.847
O6 0.381 0.250 0.519
O7 0.427 0.750 0.077
O8 0.464 0.250 0.298
O9 0.536 0.750 0.702
O10 0.573 0.250 0.923
O11 0.619 0.750 0.481
O12 0.699 0.750 0.153
O13 0.801 0.250 0.653
O14 0.881 0.250 0.981
O15 0.927 0.750 0.423
O16 0.964 0.250 0.202

=====

5.
Simulated PXRD pattern
Compound: NaNi2O3
Radiation: Cu Kα
Structure: a PBE+U-relaxed structure

Largest 6 diffraction maxima, in order of rising 2θ, 10° ≤ 2θ ≤ 90°:
| Position (°2θ) | I (rel.) |
| --- | --- |
| 11.5 | 57 |
| 34.9 | 18 |
| 36.4 | 46 |
| 41.8 | 100 |
| 59.6 | 28 |
| 61.7 | 28 |

Lattice parameters (Å, degrees): 3.009 3.009 7.720 90.00 90.00 120.00
Fractional positions:
Na1 0.000 0.000 0.000
Ni1 0.333 0.667 0.662
Ni2 0.667 0.333 0.338
O1 0.000 0.000 0.500
O2 0.333 0.667 0.208
O3 0.667 0.333 0.792

=====

6.
Simulated PXRD pattern
Compound: Na2NiO2
Radiation: Cu Kα
Structure: a PBE+U-relaxed structure

Largest 6 diffraction maxima, in order of rising 2θ, 10° ≤ 2θ ≤ 90°:
| Position (°2θ) | I (rel.) |
| --- | --- |
| 22.1 | 100 |
| 33.8 | 45 |
| 41.3 | 29 |
| 47.3 | 23 |
| 55.0 | 11 |
| 61.6 | 15 |

Lattice parameters (Å, degrees): 4.375 4.375 10.337 90.00 90.00 90.00
Fractional positions:
Na1 0.000 0.500 0.250
Na2 0.000 0.500 0.750
Na3 0.500 0.000 0.250
Na4 0.500 0.000 0.750
Ni1 0.000 0.000 0.000
Ni2 0.500 0.500 0.500
O1 0.000 0.000 0.167
O2 0.000 0.000 0.833
O3 0.500 0.500 0.333
O4 0.500 0.500 0.667